Diffraction record for KNbSe2. The powder XRD pattern is calculated, not measured: it uses DFT lattice parameters and positions (GGA-PBE) and Cu Kα.
Lines closer than 0.1° are merged.

```
KNbSe2
1.0
3.6370 0.0000 0.0000
-1.8185 3.1498 0.0000
0.0000 0.0000 16.3684
K Nb Se
2 2 4
Direct
0.0000 0.0000 0.0000
0.0000 0.0000 0.5000
0.0000 0.0000 0.2500
0.0000 0.0000 0.7500
0.3333 0.6667 0.1504
0.3333 0.6667 0.3496
0.6667 0.3333 0.6504
0.6667 0.3333 0.8496
```

Largest 10 diffraction maxima, in order of rising 2θ, 10 to 80 degrees two-theta:
2θ = 10.8°, d 8.184, rel. 804
2θ = 28.9°, d 3.093, rel. 569
2θ = 36.0°, d 2.496, rel. 1000
2θ = 39.7°, d 2.270, rel. 360
2θ = 43.9°, d 2.062, rel. 209
2θ = 50.2°, d 1.819, rel. 408
2θ = 51.5°, d 1.775, rel. 101
2θ = 63.3°, d 1.470, rel. 180
2θ = 69.1°, d 1.359, rel. 113
2θ = 78.6°, d 1.217, rel. 119